No. 1
KTh2F9: theoretical PXRD pattern (Cu Kα (weighted mean of Kα1 and Kα2)), based on a GGA-PBE-relaxed structure.
Neutral-atom scattering factors, no anomalous dispersion.

Top 12 peaks for 2θ = 10–80°, sorted by position:
15.0°, d 5.901, intensity 100
19.9°, d 4.452, intensity 24
23.5°, d 3.791, intensity 47
25.1°, d 3.554, intensity 25
25.8°, d 3.456, intensity 45
26.6°, d 3.350, intensity 53
27.7°, d 3.222, intensity 26
28.0°, d 3.190, intensity 39
30.7°, d 2.914, intensity 41
42.5°, d 2.128, intensity 25
45.3°, d 2.003, intensity 57
45.8°, d 1.982, intensity 31

Structural model:
```
KTh2F9
1.0
8.9040 0.0000 0.0000
0.0000 11.8028 0.0000
0.0000 0.0000 7.2324
K Th F
4 8 36
Direct
0.0352 0.2500 0.1470
0.4648 0.7500 0.6470
0.5352 0.2500 0.3530
0.9648 0.7500 0.8530
0.1748 0.0506 0.6541
0.1748 0.4494 0.6541
0.3252 0.5506 0.1541
0.3252 0.9494 0.1541
0.6748 0.0506 0.8459
0.6748 0.4494 0.8459
0.8252 0.5506 0.3459
0.8252 0.9494 0.3459
0.0041 0.5982 0.5765
0.0041 0.9018 0.5765
0.0655 0.5805 0.1988
0.0655 0.9195 0.1988
0.1748 0.2500 0.6631
0.2080 0.0960 0.9736
0.2080 0.4040 0.9736
0.2150 0.6059 0.8571
0.2150 0.8941 0.8571
0.2850 0.1059 0.3571
0.2850 0.3941 0.3571
0.2920 0.5960 0.4736
0.2920 0.9040 0.4736
0.3252 0.7500 0.1631
0.4345 0.0805 0.6988
0.4345 0.4195 0.6988
0.4959 0.0982 0.0765
0.4959 0.4018 0.0765
0.5041 0.5982 0.9235
0.5041 0.9018 0.9235
0.5655 0.5805 0.3012
0.5655 0.9195 0.3012
0.6748 0.2500 0.8369
0.7080 0.0960 0.5264
0.7080 0.4040 0.5264
0.7150 0.6059 0.6429
0.7150 0.8941 0.6429
0.7850 0.1059 0.1429
0.7850 0.3941 0.1429
0.7920 0.5960 0.0264
0.7920 0.9040 0.0264
0.8252 0.7500 0.3369
0.9345 0.0805 0.8012
0.9345 0.4195 0.8012
0.9959 0.0982 0.4235
0.9959 0.4018 0.4235
```

***

No. 2
Tl2InBiI6: theoretical PXRD pattern (Cu Kα (weighted mean of Kα1 and Kα2)), based on a GGA-PBE-relaxed structure.
Neutral-atom scattering factors, no anomalous dispersion.

Top 12 peaks for 2θ = 10–80°, sorted by position:
14.2°, d 6.217, intensity 40
19.7°, d 4.499, intensity 41
20.7°, d 4.300, intensity 24
23.8°, d 3.734, intensity 79
28.7°, d 3.109, intensity 51
31.6°, d 2.832, intensity 100
35.6°, d 2.519, intensity 30
36.2°, d 2.483, intensity 59
41.7°, d 2.167, intensity 19
41.8°, d 2.161, intensity 19
48.8°, d 1.867, intensity 20
62.2°, d 1.492, intensity 19

Structural model:
```
Tl2InBiI6
1.0
8.5958 0.0000 0.0000
4.2944 7.4525 0.0000
4.2956 2.4809 7.5269
Tl In Bi I
2 1 1 6
Direct
0.0000 0.0000 0.0000
0.4945 0.4933 0.5183
0.2986 0.2973 0.1064
0.8026 0.8020 0.5937
0.0492 0.6714 0.8249
0.1540 0.5825 0.3397
0.4553 0.0481 0.8254
0.5821 0.9237 0.3404
0.6720 0.4548 0.8253
0.9246 0.1535 0.3403
```

***

No. 3
NpSeI3: theoretical PXRD pattern (Cu Kα (weighted mean of Kα1 and Kα2)), based on a GGA-PBE-relaxed structure.
Neutral-atom scattering factors, no anomalous dispersion.

Top 12 peaks for 2θ = 10–80°, sorted by position:
11.0°, d 8.039, intensity 100
11.4°, d 7.755, intensity 85
12.8°, d 6.897, intensity 39
15.9°, d 5.581, intensity 31
24.7°, d 3.603, intensity 35
25.1°, d 3.551, intensity 39
30.5°, d 2.934, intensity 39
33.1°, d 2.707, intensity 26
34.3°, d 2.616, intensity 21
38.1°, d 2.364, intensity 25
38.7°, d 2.329, intensity 24
42.4°, d 2.134, intensity 34

Structural model:
```
NpSeI3
1.0
8.0870 0.0000 0.0000
0.0000 7.7554 0.0000
-1.6533 0.0000 15.0865
Np Se I
4 4 12
Direct
0.0777 0.1027 0.1398
0.0777 0.8973 0.6398
0.9223 0.1027 0.3602
0.9223 0.8973 0.8602
0.1363 0.3514 0.2846
0.1363 0.6486 0.7846
0.8637 0.3514 0.2154
0.8637 0.6486 0.7154
0.1297 0.2276 0.5304
0.1297 0.7724 0.0304
0.2338 0.1025 0.8013
0.2338 0.8975 0.3013
0.3798 0.2524 0.0835
0.3798 0.7476 0.5835
0.6202 0.2524 0.4165
0.6202 0.7476 0.9165
0.7662 0.1025 0.6987
0.7662 0.8975 0.1987
0.8703 0.2276 0.9696
0.8703 0.7724 0.4696
```

***

No. 4
Cs2CrAgI6: theoretical PXRD pattern (Cu Kα (weighted mean of Kα1 and Kα2)), based on a GGA-PBE-relaxed structure.
Neutral-atom scattering factors, no anomalous dispersion.

Top 12 peaks for 2θ = 10–80°, sorted by position:
15.2°, d 5.839, intensity 11
21.5°, d 4.129, intensity 12
26.4°, d 3.371, intensity 100
30.6°, d 2.920, intensity 100
33.4°, d 2.679, intensity 5
34.3°, d 2.611, intensity 5
43.9°, d 2.064, intensity 72
51.9°, d 1.761, intensity 44
54.4°, d 1.686, intensity 25
63.8°, d 1.460, intensity 11
70.3°, d 1.340, intensity 17
72.4°, d 1.306, intensity 30

Structural model:
```
Cs2CrAgI6
1.0
0.0000 5.8392 5.8392
5.8392 0.0000 5.8392
5.8392 5.8392 0.0000
Cs Cr Ag I
2 1 1 6
Direct
0.2500 0.2500 0.2500
0.7500 0.7500 0.7500
0.0000 0.0000 0.0000
0.5000 0.5000 0.5000
0.2389 0.2389 0.7611
0.2389 0.7611 0.2389
0.2389 0.7611 0.7611
0.7611 0.2389 0.2389
0.7611 0.2389 0.7611
0.7611 0.7611 0.2389
```

***

No. 5
Cs2NbPb2Se6: theoretical PXRD pattern (Cu Kα (weighted mean of Kα1 and Kα2)), based on a GGA-PBE-relaxed structure.
Neutral-atom scattering factors, no anomalous dispersion.

Top 12 peaks for 2θ = 10–80°, sorted by position:
10.5°, d 8.438, intensity 71
21.1°, d 4.219, intensity 15
25.5°, d 3.493, intensity 20
27.9°, d 3.201, intensity 49
28.6°, d 3.121, intensity 100
35.3°, d 2.540, intensity 16
37.5°, d 2.398, intensity 30
38.2°, d 2.358, intensity 17
42.9°, d 2.109, intensity 13
43.1°, d 2.101, intensity 32
43.5°, d 2.082, intensity 15
52.4°, d 1.745, intensity 15

Structural model:
```
Cs2NbPb2Se6
1.0
3.6517 -6.2453 0.0000
3.6517 6.2453 0.0000
-2.6713 0.0000 8.4376
Cs Nb Pb Se
2 1 2 6
Direct
0.1749 0.8251 0.0000
0.8251 0.1749 0.0000
0.0000 0.0000 0.5000
0.3308 0.6692 0.5000
0.6692 0.3308 0.5000
0.0692 0.3623 0.6830
0.2288 0.2288 0.3217
0.3623 0.0692 0.6830
0.6377 0.9308 0.3170
0.7712 0.7712 0.6783
0.9308 0.6377 0.3170
```

***

No. 6
LaSm3As3: theoretical PXRD pattern (Cu Kα (weighted mean of Kα1 and Kα2)), based on a GGA-PBE-relaxed structure.
Neutral-atom scattering factors, no anomalous dispersion.

Top 12 peaks for 2θ = 10–80°, sorted by position:
24.2°, d 3.673, intensity 10
28.0°, d 3.181, intensity 14
31.4°, d 2.845, intensity 100
37.4°, d 2.405, intensity 61
47.4°, d 1.918, intensity 8
49.6°, d 1.837, intensity 18
51.8°, d 1.765, intensity 33
63.8°, d 1.460, intensity 22
65.6°, d 1.423, intensity 12
67.5°, d 1.388, intensity 14
72.8°, d 1.299, intensity 7
78.0°, d 1.224, intensity 15

Structural model:
```
LaSm3As3
1.0
8.9980 0.0000 0.0000
0.0000 8.9980 0.0000
0.0000 0.0000 8.9980
La Sm As
4 12 12
Direct
0.0673 0.4327 0.5673
0.4327 0.5673 0.0673
0.5673 0.0673 0.4327
0.9327 0.9327 0.9327
0.0673 0.5673 0.9327
0.1836 0.8164 0.3164
0.1845 0.1845 0.1845
0.3155 0.8155 0.6845
0.3164 0.1836 0.8164
0.4327 0.4327 0.4327
0.5673 0.9327 0.0673
0.6836 0.6836 0.6836
0.6845 0.3155 0.8155
0.8155 0.6845 0.3155
0.8164 0.3164 0.1836
0.9327 0.0673 0.5673
0.0007 0.2535 0.8790
0.1210 0.5007 0.2465
0.2465 0.1210 0.5007
0.2535 0.8790 0.0007
0.3790 0.4993 0.7465
0.4993 0.7465 0.3790
0.5007 0.2465 0.1210
0.6210 0.9993 0.7535
0.7465 0.3790 0.4993
0.7535 0.6210 0.9993
0.8790 0.0007 0.2535
0.9993 0.7535 0.6210
```

***

No. 7
BaLi2UI8: theoretical PXRD pattern (Cu Kα (weighted mean of Kα1 and Kα2)), based on a GGA-PBE-relaxed structure.
Neutral-atom scattering factors, no anomalous dispersion.

Top 12 peaks for 2θ = 10–80°, sorted by position:
13.8°, d 6.435, intensity 23
16.2°, d 5.466, intensity 26
25.5°, d 3.497, intensity 67
25.8°, d 3.452, intensity 20
29.6°, d 3.019, intensity 100
42.1°, d 2.145, intensity 35
42.6°, d 2.124, intensity 34
50.1°, d 1.822, intensity 16
52.3°, d 1.749, intensity 18
61.4°, d 1.509, intensity 10
69.3°, d 1.355, intensity 15
70.0°, d 1.345, intensity 13

Structural model:
```
BaLi2UI8
1.0
7.4309 0.0000 0.0000
-3.7154 6.4353 0.0000
0.0000 0.0000 10.3549
Ba Li U I
1 2 1 8
Direct
0.0000 0.0000 0.0000
0.3333 0.6667 0.7441
0.6667 0.3333 0.2559
0.0000 0.0000 0.5000
0.0270 0.6970 0.3190
0.3030 0.3300 0.3190
0.3300 0.0270 0.6810
0.3333 0.6667 0.9977
0.6667 0.3333 0.0023
0.6700 0.9730 0.3190
0.6970 0.6700 0.6810
0.9730 0.3030 0.6810
```

***

No. 8
ErSn3Au: theoretical PXRD pattern (Cu Kα (weighted mean of Kα1 and Kα2)), based on a GGA-PBE-relaxed structure.
Neutral-atom scattering factors, no anomalous dispersion.

Top 12 peaks for 2θ = 10–80°, sorted by position:
32.0°, d 2.798, intensity 95
32.8°, d 2.727, intensity 32
35.0°, d 2.561, intensity 26
35.1°, d 2.553, intensity 52
35.7°, d 2.515, intensity 44
35.9°, d 2.505, intensity 100
38.7°, d 2.325, intensity 26
40.9°, d 2.209, intensity 66
55.4°, d 1.660, intensity 37
59.2°, d 1.562, intensity 25
68.8°, d 1.364, intensity 31
71.1°, d 1.326, intensity 30

Structural model:
```
ErSn3Au
1.0
12.5736 0.0000 0.0000
0.0000 6.2487 0.0000
0.0000 0.0000 6.2468
Er Sn Au
4 12 4
Direct
0.1928 0.0095 0.2500
0.1928 0.4905 0.7500
0.8072 0.5095 0.2500
0.8072 0.9905 0.7500
0.0003 0.2500 0.0000
0.0003 0.2500 0.5000
0.9997 0.7500 0.0000
0.9997 0.7500 0.5000
0.2391 0.5181 0.2500
0.2391 0.9819 0.7500
0.4314 0.6376 0.7500
0.4314 0.8624 0.2500
0.5686 0.1376 0.7500
0.5686 0.3624 0.2500
0.7609 0.0181 0.2500
0.7609 0.4819 0.7500
0.3824 0.2500 0.0000
0.3824 0.2500 0.5000
0.6176 0.7500 0.0000
0.6176 0.7500 0.5000
```

***

No. 9
TbNd3DyEr: theoretical PXRD pattern (Cu Kα (weighted mean of Kα1 and Kα2)), based on a GGA-PBE-relaxed structure.
Neutral-atom scattering factors, no anomalous dispersion.

Top 11 peaks for 2θ = 10–80°, sorted by position:
30.3°, d 2.946, intensity 100
35.1°, d 2.554, intensity 34
35.2°, d 2.546, intensity 17
50.6°, d 1.805, intensity 24
50.6°, d 1.803, intensity 12
60.1°, d 1.540, intensity 29
60.2°, d 1.536, intensity 14
63.1°, d 1.473, intensity 12
74.2°, d 1.278, intensity 2
74.3°, d 1.276, intensity 2
74.5°, d 1.273, intensity 2

Structural model:
```
TbNd3DyEr
1.0
2.5463 -7.6699 0.0000
2.5463 7.6699 0.0000
0.0000 0.0000 10.2087
Tb Nd Dy Er
2 6 2 2
Direct
0.0000 0.0000 0.0000
0.0000 0.0000 0.5000
0.1664 0.8336 0.7500
0.3346 0.6654 0.9997
0.3346 0.6654 0.5003
0.6654 0.3346 0.0003
0.6654 0.3346 0.4997
0.8336 0.1664 0.2500
0.4985 0.5015 0.7500
0.5015 0.4985 0.2500
0.1652 0.8348 0.2500
0.8348 0.1652 0.7500
```

***

No. 10
AgTeCl3: theoretical PXRD pattern (Cu Kα (weighted mean of Kα1 and Kα2)), based on a GGA-PBE-relaxed structure.
Neutral-atom scattering factors, no anomalous dispersion.

Top 12 peaks for 2θ = 10–80°, sorted by position:
12.3°, d 7.202, intensity 20
12.8°, d 6.914, intensity 18
18.9°, d 4.694, intensity 29
20.9°, d 4.244, intensity 18
23.3°, d 3.818, intensity 19
24.2°, d 3.676, intensity 27
28.9°, d 3.085, intensity 100
30.4°, d 2.943, intensity 39
40.5°, d 2.229, intensity 16
40.9°, d 2.206, intensity 25
42.3°, d 2.137, intensity 15
44.0°, d 2.059, intensity 36

Structural model:
```
AgTeCl3
1.0
7.7657 0.0000 0.0000
0.0000 4.2748 0.0000
-3.4230 0.0000 8.4890
Ag Te Cl
2 2 6
Direct
0.2058 0.0000 0.4678
0.7942 0.5000 0.5322
0.4533 0.9900 0.1063
0.5467 0.4900 0.8937
0.1401 0.9840 0.9250
0.1930 0.5235 0.6324
0.3436 0.3193 0.3020
0.6564 0.8193 0.6980
0.8070 0.0235 0.3676
0.8599 0.4840 0.0750
```